For Ho2MgV2O7, a structure optimized by DFT (GGA+U) gives the theoretical PXRD pattern in this record (a wavelength of 1.5418 Å).
Lines closer than 0.1° are merged.

Most intense lines, 2θ = 15–90°, low angle first:
16.7 deg, I 100
24.5 deg, I 67
25.9 deg, I 46
29.6 deg, I 38
30.6 deg, I 37
33.4 deg, I 42
33.8 deg, I 21
36.3 deg, I 18
36.6 deg, I 35
39.2 deg, I 21
48.6 deg, I 28
57.9 deg, I 27

```
Ho2MgV2O7
1.0
3.2208 -4.9549 0.0000
3.2208 4.9549 0.0000
-1.2200 0.0000 5.3235
Ho Mg V O
2 1 2 7
direct
0.0000 0.0000 0.0000 Ho
0.6469 0.3531 0.0000 Ho
0.1188 0.8812 0.5000 Mg
0.0718 0.4089 0.6155 V
0.5911 0.9282 0.3845 V
0.2608 0.2186 0.7541 O
0.3160 0.6840 0.5000 O
0.3646 0.0662 0.2270 O
0.7658 0.1187 0.7291 O
0.7814 0.7392 0.2459 O
0.8813 0.2342 0.2709 O
0.9338 0.6354 0.7730 O
```